# 1
The following is a simulated X-ray powder pattern of RbMgFeMo2O8. It was derived from a crystal structure in the Materials Project, relaxed with PBE+U, using Cu Kα.
Kinematic intensities with the Lorentz-polarization factor, no thermal factor.

Top 10 peaks for 2θ from 5° to 70°, in order of rising 2θ:
2θ 22.02, rel. 100
2θ 30.35, rel. 95
2θ 32.30, rel. 94
2θ 34.52, rel. 14
2θ 40.89, rel. 17
2θ 44.91, rel. 37
2θ 51.86, rel. 18
2θ 56.39, rel. 33
2θ 57.60, rel. 26
2θ 59.79, rel. 39

Atomic structure:
Lattice parameters (Å, degrees): 5.5435 5.5435 7.4564 90.00 90.00 120.00
Space group P3 (No. 143)
Inequivalent atoms, fractional coordinates:
Rb: 0.0000 0.0000 0.0000
Mg: 0.6667 0.3333 0.7184
Fe: 0.0000 0.0000 0.5103
Mo: 0.3333 0.6667 0.7414
Mo: 0.6667 0.3333 0.2397
O: 0.3065 0.3049 0.6512
O: 0.3282 0.0860 0.3234
O: 0.3333 0.6667 0.9799
O: 0.6667 0.3333 0.9953

# 2
The following is a simulated X-ray powder pattern of RbMgFeMo2O8. It was derived from a crystal structure in the Materials Project, relaxed with PBE+U, using Cu Kα.
Kinematic intensities with the Lorentz-polarization factor, no thermal factor.

Top 10 peaks for 2θ from 5° to 70°, in order of rising 2θ:
2θ 8.57, rel. 49
2θ 17.18, rel. 11
2θ 19.45, rel. 100
2θ 24.56, rel. 40
2θ 30.42, rel. 52
2θ 31.38, rel. 32
2θ 44.27, rel. 20
2θ 48.12, rel. 17
2θ 54.30, rel. 12
2θ 54.66, rel. 14

Atomic structure:
Lattice parameters (Å, degrees): 5.8767 5.8767 10.3232 90.00 90.00 120.00
Space group P3 (No. 143)
Inequivalent atoms, fractional coordinates:
Rb: 0.0000 0.0000 0.0000
Mg: 0.0000 0.0000 0.6178
Fe: 0.0000 0.0000 0.3489
Mo: 0.3333 0.6667 0.5500
Mo: 0.6667 0.3333 0.1861
O: 0.1443 0.8249 0.5022
O: 0.3323 0.1250 0.2389
O: 0.3333 0.6667 0.7191
O: 0.6667 0.3333 0.0144

# 3
The following is a simulated X-ray powder pattern of Sr10Mg4FeMo5O30. It was derived from a crystal structure in the Materials Project, relaxed with PBE+U, using Cu Kα.
Kinematic intensities with the Lorentz-polarization factor, no thermal factor.

Top 10 peaks for 2θ from 5° to 70°, in order of rising 2θ:
2θ 19.21, rel. 23
2θ 31.59, rel. 100
2θ 31.71, rel. 52
2θ 38.99, rel. 15
2θ 45.10, rel. 20
2θ 45.45, rel. 37
2θ 56.18, rel. 20
2θ 56.40, rel. 41
2θ 65.96, rel. 22
2θ 66.23, rel. 11

Atomic structure:
Lattice parameters (Å, degrees): 12.621 12.621 8.041 90.00 90.00 90.00
Space group I4/m (No. 87)
Inequivalent atoms, fractional coordinates:
Sr: 0.000 0.500 0.250
Sr: 0.100 0.200 0.249
Mg: 0.100 0.701 0.000
Fe: 0.000 0.000 0.500
Mo: 0.000 0.000 0.000
Mo: 0.100 0.699 0.500
O: 0.000 0.000 0.249
O: 0.031 0.848 0.000
O: 0.049 0.369 0.000
O: 0.051 0.331 0.500
O: 0.069 0.853 0.500
O: 0.100 0.700 0.258
O: 0.231 0.250 0.000

# 4
The following is a simulated X-ray powder pattern of Sr2MgFeMoO6. It was derived from a crystal structure in the Materials Project, relaxed with PBE+U, using Cu Kα.
Kinematic intensities with the Lorentz-polarization factor, no thermal factor.

Top 10 peaks for 2θ from 5° to 70°, in order of rising 2θ:
2θ 27.71, rel. 46
2θ 29.24, rel. 45
2θ 30.44, rel. 77
2θ 30.81, rel. 67
2θ 30.98, rel. 100
2θ 31.33, rel. 84
2θ 32.16, rel. 45
2θ 34.98, rel. 52
2θ 43.88, rel. 87
2θ 45.40, rel. 54

Atomic structure:
Lattice parameters (Å, degrees): 5.743 5.783 5.833 61.50 64.43 87.86
Space group P-1 (No. 2)
Inequivalent atoms, fractional coordinates:
Sr: 0.136 0.192 0.119
Mg: 0.500 0.500 0.500
Fe: 0.000 0.500 0.500
Mo: 0.500 0.000 0.500
O: 0.216 0.232 0.613
O: 0.255 0.670 0.980
O: 0.256 0.769 0.449

Please write out number 1 again, unchanged.
The following is a simulated X-ray powder pattern of RbMgFeMo2O8. It was derived from a crystal structure in the Materials Project, relaxed with PBE+U, using Cu Kα.
Kinematic intensities with the Lorentz-polarization factor, no thermal factor.

Top 10 peaks for 2θ from 5° to 70°, in order of rising 2θ:
2θ 22.02, rel. 100
2θ 30.35, rel. 95
2θ 32.30, rel. 94
2θ 34.52, rel. 14
2θ 40.89, rel. 17
2θ 44.91, rel. 37
2θ 51.86, rel. 18
2θ 56.39, rel. 33
2θ 57.60, rel. 26
2θ 59.79, rel. 39

Atomic structure:
Lattice parameters (Å, degrees): 5.5435 5.5435 7.4564 90.00 90.00 120.00
Space group P3 (No. 143)
Inequivalent atoms, fractional coordinates:
Rb: 0.0000 0.0000 0.0000
Mg: 0.6667 0.3333 0.7184
Fe: 0.0000 0.0000 0.5103
Mo: 0.3333 0.6667 0.7414
Mo: 0.6667 0.3333 0.2397
O: 0.3065 0.3049 0.6512
O: 0.3282 0.0860 0.3234
O: 0.3333 0.6667 0.9799
O: 0.6667 0.3333 0.9953

What is the formula in the third record?
Sr10Mg4FeMo5O30